This entry pairs a crystal structure of Li3V2P4H2O16 with its computed powder X-ray diffraction pattern. Radiation: Cu Kα (λ = 1.5418 Å). Structure: a DFT-relaxed cell (GGA+U, Alexandria).

Structural model:
```
data_Li3V2P4H2O16
_chemical_formula_sum 'Li6 V4 P8 H4 O32'
_space_group_name_H-M_alt 'P 1 21 1'
_space_group_IT_number 4
_space_group_name_Hall 'P 2yb'
_cell_length_a 7.904
_cell_length_b 8.075
_cell_length_c 9.755
_cell_angle_alpha 90.00
_cell_angle_beta 112.34
_cell_angle_gamma 90.00
loop_
_atom_site_label
_atom_site_fract_x
_atom_site_fract_y
_atom_site_fract_z
Li1 0.096 0.000 0.225
Li2 0.098 0.980 0.725
Li3 0.400 0.730 0.778
V1 0.253 0.362 0.251
V2 0.258 0.351 0.750
P1 0.012 0.710 0.072
P2 0.018 0.698 0.565
P3 0.480 0.009 0.935
P4 0.489 0.005 0.428
H1 0.234 0.849 0.016
H2 0.268 0.863 0.487
O1 0.057 0.544 0.154
O2 0.067 0.525 0.640
O3 0.089 0.297 0.358
O4 0.096 0.320 0.856
O5 0.102 0.189 0.095
O6 0.105 0.178 0.603
O7 0.189 0.814 0.100
O8 0.196 0.795 0.591
O9 0.302 0.920 0.404
O10 0.305 0.907 0.906
O11 0.392 0.523 0.408
O12 0.398 0.527 0.896
O13 0.404 0.393 0.644
O14 0.412 0.416 0.142
O15 0.426 0.186 0.872
O16 0.442 0.168 0.341
```

Peak list (12 most intense, 15 to 90 degrees two-theta, in order of rising 2θ)
hkl  d/Å  I/Imax
1 1 0  5.420  53
0 2 0  4.037  13
0 1 2  3.938  42
2 0 -2  3.583  74
1 2 0  3.534  50
2 1 -2  3.275  15
1 1 2  3.069  100
0 2 2  3.009  20
2 2 0  2.710  42
1 3 2  2.090  15
4 2 -2  1.774  16
2 0 4  1.657  14